For Ni3B2O6, a PBE+U-relaxed structure gives the calculated PXRD pattern in this record (λ = 1.5418 Å (Cu Kα)).
Lines closer than 0.1° are merged.

Principal peaks in the range 2θ from 10° to 80°, in order of rising 2θ:
| index | 2θ (°) | Rel. int. |
| --- | --- | --- |
| 1 0 1 | 22.42 | 43.8 |
| 1 1 0 | 25.68 | 21.6 |
| 0 2 0 | 32.90 | 11.8 |
| 1 1 2 | 33.52 | 100.0 |
| 0 1 3 | 36.10 | 41.5 |
| 1 2 1 | 40.18 | 50.7 |
| 1 1 3 | 41.47 | 12.8 |
| 2 2 0 | 52.78 | 30.9 |
| 2 1 3 | 55.02 | 42.9 |
| 1 3 2 | 59.14 | 16.7 |
| 0 3 3 | 60.84 | 22.0 |
| 0 4 0 | 68.97 | 21.3 |

Structure:
Cell: 4.5006 5.4447 8.3916 Å, 90.00 90.00 90.00°
Space group Pnnm (No. 58)
Asymmetric unit:
Ni1 0.0000 0.0000 0.0000
Ni2 0.0000 0.5000 0.1839
B1 0.0425 0.2459 0.5000
O1 0.2007 0.2985 0.3601
O2 0.2473 0.3244 0.0000